# 1
The following is a theoretical XRD peak list of MnB2H8. It was derived from a crystal structure in Alexandria, relaxed with PBE, using Cu Kα.
Peak positions follow from Bragg's law for the DFT cell and can differ from measured ones.

Largest 8 diffraction maxima, by angle, 2θ = 10–80°:
d = 4.018 Å, 2θ 22.12, intensity 100; d = 3.840 Å, 2θ 23.16, intensity 43; d = 2.358 Å, 2θ 38.17, intensity 23; d = 2.250 Å, 2θ 40.08, intensity 40; d = 2.009 Å, 2θ 45.13, intensity 21; d = 1.870 Å, 2θ 48.70, intensity 11; d = 1.540 Å, 2θ 60.09, intensity 11; d = 1.489 Å, 2θ 62.37, intensity 10

Cell and atoms:
```
44
Lattice="-3.840 3.840 5.974 3.840 -3.840 5.974 3.840 3.840 -5.974" Properties=species:S:1:pos:R:3 pbc="T T T"
Mn 3.840 -1.920 4.481
Mn 3.840 1.920 1.494
Mn 0.000 1.920 4.481
Mn 0.000 5.760 1.494
B 1.920 1.775 0.000
B 0.145 0.000 2.987
B 3.985 0.000 2.987
B 1.920 -1.775 5.974
B 1.920 5.615 0.000
B -0.145 3.840 2.987
B 3.695 3.840 2.987
B 1.920 2.065 5.974
H 5.815 1.328 -0.988
H 4.711 -0.980 2.833
H 2.900 1.048 -0.154
H 4.711 2.860 -2.833
H 0.940 1.048 0.154
H 3.248 3.784 -3.975
H 3.248 0.055 1.999
H 1.865 2.512 -0.988
H 5.704 1.328 0.988
H 3.248 -0.055 3.975
H 3.248 3.895 -1.999
H 4.780 2.792 -0.154
H 0.872 0.980 2.833
H 2.900 -1.048 6.128
H 4.711 0.980 3.141
H 1.975 2.512 0.988
H 1.865 1.328 4.986
H -0.872 2.860 2.833
H 0.940 4.888 -0.154
H 2.968 2.860 3.141
H -0.940 1.048 6.128
H 0.592 -0.055 7.973
H 0.592 3.895 1.999
H -1.865 2.512 4.986
H 1.975 1.328 6.962
H 0.592 3.784 3.975
H 0.592 0.055 9.949
H 2.900 2.792 5.820
H -0.872 0.980 8.807
H 0.940 2.792 6.128
H -0.872 4.820 3.141
H -1.975 2.512 6.962
```

***

# 2
The following is a theoretical XRD peak list of Ba2Ag2Pd. It was derived from a crystal structure in Alexandria, relaxed with PBE, using Cu Kα.
Peak positions follow from Bragg's law for the DFT cell and can differ from measured ones.

Largest 8 diffraction maxima, by angle, 2θ = 10–80°:
d = 3.142 Å, 2θ 28.41, intensity 100; d = 3.053 Å, 2θ 29.25, intensity 39; d = 3.041 Å, 2θ 29.37, intensity 72; d = 2.851 Å, 2θ 31.38, intensity 29; d = 2.823 Å, 2θ 31.70, intensity 46; d = 2.519 Å, 2θ 35.65, intensity 75; d = 2.325 Å, 2θ 38.73, intensity 51; d = 1.631 Å, 2θ 56.40, intensity 30

Cell and atoms:
```
10
Lattice="6.108 -2.325 0.000 6.108 2.325 0.000 -5.898 0.000 11.292" Properties=species:S:1:pos:R:3 pbc="T T T"
Ba -1.212 0.000 4.338
Ba -1.422 0.000 9.762
Ba 7.739 0.000 1.530
Ba 7.529 0.000 6.954
Ag -4.904 0.000 10.312
Ag 2.350 0.000 4.347
Ag 3.967 0.000 6.946
Ag 11.221 0.000 0.980
Pd 4.091 0.000 2.137
Pd 2.226 0.000 9.155
```

***

# 3
The following is a theoretical XRD peak list of CsLiV2Br8. It was derived from a crystal structure in Alexandria, relaxed with PBE, using Cu Kα.
Peak positions follow from Bragg's law for the DFT cell and can differ from measured ones.

Largest 8 diffraction maxima, by angle, 2θ = 10–80°:
d = 4.708 Å, 2θ 18.85, intensity 18; d = 3.371 Å, 2θ 26.44, intensity 38; d = 3.279 Å, 2θ 27.19, intensity 100; d = 2.859 Å, 2θ 31.28, intensity 55; d = 2.043 Å, 2θ 44.35, intensity 31; d = 2.001 Å, 2θ 45.31, intensity 32; d = 1.721 Å, 2θ 53.23, intensity 31; d = 1.708 Å, 2θ 53.65, intensity 14

Cell and atoms:
```
12
Lattice="3.467 2.001 10.113 -3.467 2.001 10.113 0.000 -4.003 10.113" Properties=species:S:1:pos:R:3 pbc="T T T"
Cs 0.000 0.000 0.000
Li 0.000 0.000 15.169
V 0.000 0.000 7.407
V 0.000 0.000 22.931
Br -1.171 -1.947 13.488
Br -2.272 0.041 16.850
Br 0.000 0.000 9.789
Br -1.100 1.988 13.488
Br 1.100 -1.988 16.850
Br 0.000 0.000 20.549
Br 2.272 -0.041 13.488
Br 1.171 1.947 16.850
```